# BaZn2Sb2
Computed powder XRD pattern, Cu Kα, 1.54184 Å. Input: a PBE-relaxed structure.
Kinematic intensities with the Lorentz-polarization factor, no thermal factor.

Atomic structure:
a b c (Å): 10.6131 4.5445 11.7329
angles (deg): 90.00 90.00 90.00
Fractional coordinates of all 20 atoms:
Ba  0.2461  0.2500  0.1799
Ba  0.2539  0.7500  0.6799
Ba  0.7461  0.2500  0.3201
Ba  0.7539  0.7500  0.8201
Zn  0.0544  0.2500  0.8811
Zn  0.0951  0.2500  0.4522
Zn  0.4049  0.7500  0.9522
Zn  0.4456  0.7500  0.3811
Zn  0.5544  0.2500  0.6189
Zn  0.5951  0.2500  0.0478
Zn  0.9049  0.7500  0.5478
Zn  0.9456  0.7500  0.1189
Sb  0.0251  0.7500  0.3368
Sb  0.1512  0.7500  0.9649
Sb  0.3488  0.2500  0.4649
Sb  0.4749  0.2500  0.8368
Sb  0.5251  0.7500  0.1632
Sb  0.6512  0.7500  0.5351
Sb  0.8488  0.2500  0.0351
Sb  0.9749  0.2500  0.6632

Principal peaks in the range 10° ≤ 2θ ≤ 90°, in order of rising 2θ:
| hkl | 2θ (°) | Rel. int. |
| --- | --- | --- |
| 2 1 1 | 26.9 | 100 |
| 3 0 2 | 29.5 | 43 |
| 1 1 3 | 31.3 | 72 |
| 1 0 4 | 31.6 | 27 |
| 4 0 2 | 37.2 | 21 |
| 0 2 0 | 39.7 | 37 |
| 2 1 5 | 46.8 | 14 |
| 5 1 1 | 47.9 | 21 |
| 3 2 2 | 50.2 | 19 |
| 1 2 4 | 51.6 | 14 |